1.
Diffraction record for SrLiSiN2. The X-ray diffraction stick pattern is computed, not measured: it uses a DFT-relaxed cell (PBE, Alexandria) and Cu Kα, 1.54184 Å.
Intensities are scaled so that the largest is 100.

Atomic structure:
Unit cell a=6.1040 b=6.1040 c=5.8896 alpha=90.00 beta=90.00 gamma=133.96
Element x y z (fractional)
Sr1 0.2500 0.7500 0.7868
Sr2 0.7500 0.2500 0.2132
Li1 0.0000 0.0000 0.5000
Li2 0.5000 0.5000 0.5000
Si1 0.2500 0.2500 0.0000
Si2 0.7500 0.7500 0.0000
N1 0.0877 0.9123 0.1479
N2 0.4123 0.5877 0.1479
N3 0.5877 0.4123 0.8521
N4 0.9123 0.0877 0.8521

Main lines, sorted by position (2θ = 5–70°):
2theta  I (rel.)
15.04  67
15.77  19
25.29  100
31.86  29
34.02  100
34.38  50
41.08  25
47.30  21
49.14  25
63.11  22

=====

2.
Diffraction record for Li4U3SiN8. The X-ray diffraction stick pattern is computed, not measured: it uses a DFT-relaxed cell (PBE, Alexandria) and Cu Kα, 1.54184 Å.
Intensities are scaled so that the largest is 100.

Atomic structure:
Unit cell a=6.6014 b=6.6014 c=6.1821 alpha=114.59 beta=114.59 gamma=57.86
Element x y z (fractional)
Li1 0.0000 0.0000 0.0000
Li2 0.0000 0.5000 0.5000
Li3 0.5000 0.0000 0.5000
Li4 0.5000 0.5000 0.0000
U1 0.0000 0.0000 0.5000
U2 0.0000 0.5000 0.0000
U3 0.5000 0.0000 0.0000
Si1 0.5000 0.5000 0.5000
N1 0.2108 0.2108 0.1879
N2 0.2204 0.2204 0.7266
N3 0.2615 0.6824 0.2695
N4 0.3176 0.7385 0.7305
N5 0.6824 0.2615 0.2695
N6 0.7385 0.3176 0.7305
N7 0.7796 0.7796 0.2734
N8 0.7892 0.7892 0.8121

Main lines, sorted by position (2θ = 5–70°):
2theta  I (rel.)
16.36  24
17.31  100
29.20  26
32.52  39
32.93  21
33.12  36
35.04  15
35.32  22
40.68  33
42.18  18

=====

3.
Diffraction record for Li2Sm4N. The X-ray diffraction stick pattern is computed, not measured: it uses a DFT-relaxed cell (PBE, Alexandria) and Cu Kα, 1.54184 Å.
Intensities are scaled so that the largest is 100.

Atomic structure:
Unit cell a=8.2135 b=8.2135 c=8.2135 alpha=144.62 beta=144.62 gamma=50.89
Element x y z (fractional)
Li1 0.1333 0.1333 0.0000
Li2 0.8667 0.8667 0.0000
Sm1 0.0000 0.5000 0.5000
Sm2 0.3365 0.3365 0.0000
Sm3 0.5000 0.0000 0.5000
Sm4 0.6635 0.6635 0.0000
N1 0.5000 0.5000 0.0000

Main lines, sorted by position (2θ = 5–70°):
2theta  I (rel.)
11.93  31
18.76  39
25.36  54
28.00  100
35.11  72
35.99  55
36.34  26
44.54  24
52.07  37
64.13  24

=====

4.
Diffraction record for Li2SmTc2N4. The X-ray diffraction stick pattern is computed, not measured: it uses a DFT-relaxed cell (PBE, Alexandria) and Cu Kα, 1.54184 Å.
Intensities are scaled so that the largest is 100.

Atomic structure:
Unit cell a=5.4750 b=5.4750 c=8.1721 alpha=118.60 beta=118.60 gamma=35.22
Element x y z (fractional)
Li1 0.1442 0.1442 0.2370
Li2 0.8558 0.8558 0.7630
Sm1 0.0000 0.0000 0.5000
Tc1 0.3542 0.3542 0.1135
Tc2 0.6458 0.6458 0.8865
N1 0.2259 0.2259 0.8191
N2 0.4510 0.4510 0.6807
N3 0.5490 0.5490 0.3193
N4 0.7741 0.7741 0.1809

Main lines, sorted by position (2θ = 5–70°):
2theta  I (rel.)
17.20  100
29.31  12
32.89  12
33.43  35
34.98  27
38.97  24
39.51  15
40.51  20
53.60  10
55.17  10

=====

5.
Diffraction record for Li3SnN. The X-ray diffraction stick pattern is computed, not measured: it uses a DFT-relaxed cell (PBE, Alexandria) and Cu Kα, 1.54184 Å.
Intensities are scaled so that the largest is 100.

Atomic structure:
Unit cell a=5.6437 b=5.1970 c=5.9517 alpha=90.00 beta=115.44 gamma=90.00
Element x y z (fractional)
Li1 0.0886 0.0000 0.1016
Li2 0.1340 0.8200 0.6787
Li3 0.4105 0.3925 0.9001
Li4 0.5895 0.8925 0.0999
Li5 0.8660 0.3200 0.3213
Li6 0.9114 0.5000 0.8984
Sn1 0.3486 0.5720 0.3880
Sn2 0.6514 0.0720 0.6120
N1 0.2593 0.6866 0.0149
N2 0.7407 0.1866 0.9851

Main lines, sorted by position (2θ = 5–70°):
2theta  I (rel.)
16.49  47
17.40  39
18.13  100
23.82  47
24.46  93
33.72  44
36.26  34
37.68  40
39.26  38
39.38  34

=====

6.
Diffraction record for LiTc2SnN4. The X-ray diffraction stick pattern is computed, not measured: it uses a DFT-relaxed cell (PBE, Alexandria) and Cu Kα, 1.54184 Å.
Intensities are scaled so that the largest is 100.

Atomic structure:
Unit cell a=4.6786 b=4.6786 c=6.1207 alpha=112.38 beta=112.38 gamma=90.00
Element x y z (fractional)
Li1 0.0000 0.0000 0.0000
Tc1 0.2499 0.7498 0.5000
Tc2 0.7498 0.2499 0.5000
Sn1 0.4997 0.4997 0.9998
N1 0.0729 0.0729 0.6887
N2 0.3842 0.9275 0.3111
N3 0.6164 0.6164 0.6891
N4 0.9275 0.3842 0.3111

Main lines, sorted by position (2θ = 5–70°):
2theta  I (rel.)
17.19  11
20.85  32
32.14  100
32.31  14
34.79  15
38.48  21
52.84  29
55.56  13
60.69  12
65.65  26